The following is a simulated powder X-ray diffraction pattern of Li3VB2O6. It was derived from a DFT-relaxed cell (PBE+U, Alexandria), using Cu Kα.
Peak positions follow from Bragg's law for the DFT cell and can differ from measured ones.

Structural model:
Unit cell a=5.0347 b=6.5056 c=8.0950 alpha=73.11 beta=89.60 gamma=89.50
Fractional positions:
Li 0.1722 0.2569 0.3855
Li 0.1805 0.9583 0.7370
Li 0.3206 0.0913 0.0740
Li 0.6794 0.9087 0.9260
Li 0.8195 0.0417 0.2630
Li 0.8278 0.7431 0.6145
V 0.3480 0.4397 0.7264
V 0.6520 0.5603 0.2736
B 0.1641 0.6818 0.0883
B 0.3348 0.8343 0.4293
B 0.6652 0.1657 0.5707
B 0.8359 0.3182 0.9117
O 0.1141 0.3193 0.9146
O 0.2044 0.9952 0.3150
O 0.2202 0.7232 0.5891
O 0.2868 0.5217 0.2213
O 0.3050 0.8353 0.9721
O 0.3987 0.2246 0.5995
O 0.6013 0.7754 0.4005
O 0.6950 0.1647 0.0279
O 0.7132 0.4783 0.7787
O 0.7798 0.2768 0.4109
O 0.7956 0.0048 0.6850
O 0.8859 0.6807 0.0854

Top 10 peaks for 2θ = 10–90°, by intensity:
Position (°2θ), d_spacing, intensity
31.20, 2.866, 100
35.46, 2.532, 57
14.23, 6.225, 50
23.26, 3.824, 46
23.40, 3.802, 46
21.00, 4.230, 33
29.19, 3.060, 32
35.67, 2.517, 28
29.46, 3.032, 27
33.99, 2.637, 26